# 1
The following is a calculated powder diffractogram of Pr2Y5Mg. It was derived from a structure optimized by DFT (GGA-PBE), using Cu Kα (λ = 1.5418 Å).
Peak positions follow from Bragg's law for the DFT cell and can differ from measured ones.

Main lines, in order of rising 2θ (2θ from 10° to 90°):
Position (°2θ)	d [Å]	I/Imax	hkl
17.7	5.019	9	1 1 0
24.9	3.582	8	1 1 2
30.7	2.916	100	2 0 2
35.1	2.557	17	0 0 4
35.8	2.509	33	2 2 0
51.0	1.791	23	2 2 4
51.5	1.774	11	4 0 0
60.2	1.537	14	2 0 6
61.1	1.516	27	4 2 2
63.8	1.458	12	4 0 4
83.2	1.162	11	4 2 6
84.0	1.153	5	6 0 2

a = 7.098 Å, b = 7.098 Å, c = 10.229 Å
α = 90.00°, β = 90.00°, γ = 90.00°
Fractional coordinates of all 16 atoms:
1 Pr 0.000 0.500 0.000
2 Pr 0.000 0.500 0.500
3 Pr 0.500 0.000 0.000
4 Pr 0.500 0.000 0.500
5 Y 0.000 0.000 0.000
6 Y 0.250 0.250 0.250
7 Y 0.250 0.250 0.750
8 Y 0.250 0.750 0.250
9 Y 0.250 0.750 0.750
10 Y 0.500 0.500 0.500
11 Y 0.750 0.250 0.250
12 Y 0.750 0.250 0.750
13 Y 0.750 0.750 0.250
14 Y 0.750 0.750 0.750
15 Mg 0.000 0.000 0.500
16 Mg 0.500 0.500 0.000

=====

# 2
The following is a calculated powder diffractogram of HgP2. It was derived from a structure optimized by DFT (GGA-PBE), using Cu Kα (λ = 1.5418 Å).
Peak positions follow from Bragg's law for the DFT cell and can differ from measured ones.

Main lines, in order of rising 2θ (2θ from 10° to 90°):
Position (°2θ)	d [Å]	I/Imax	hkl
11.3	7.816	72	0 0 1
22.8	3.908	46	0 0 2
31.4	2.851	32	1 0 0
33.5	2.678	100	0 1 1
34.4	2.605	11	0 0 3
39.1	2.303	45	1 0 2
47.3	1.923	32	0 1 3
55.9	1.646	15	1 1 0
57.2	1.611	29	1 0 4
61.1	1.517	19	1 1 2
66.7	1.402	14	2 0 1
67.3	1.391	10	1 1 3

a = 3.292 Å, b = 3.292 Å, c = 7.816 Å
α = 90.00°, β = 90.00°, γ = 120.00°
Fractional coordinates of all 3 atoms:
1 Hg 0.000 0.000 0.000
2 P 0.333 0.667 0.421
3 P 0.667 0.333 0.579

=====

# 3
The following is a calculated powder diffractogram of Ce5FeGe2. It was derived from a structure optimized by DFT (GGA-PBE), using Cu Kα (λ = 1.5418 Å).
Peak positions follow from Bragg's law for the DFT cell and can differ from measured ones.

Main lines, in order of rising 2θ (2θ from 10° to 90°):
Position (°2θ)	d [Å]	I/Imax	hkl
17.0	5.210	10	1 0 1
22.7	3.920	17	0 0 2
34.4	2.605	100	2 0 2
36.5	2.465	57	2 2 0
43.4	2.087	12	2 2 2
46.3	1.960	9	0 0 4
52.5	1.743	20	4 0 0
53.6	1.709	8	2 0 4
60.3	1.534	16	2 2 4
64.3	1.449	32	4 2 2
72.6	1.303	9	4 0 4
88.7	1.102	9	6 2 0

a = 6.972 Å, b = 6.972 Å, c = 7.841 Å
α = 90.00°, β = 90.00°, γ = 90.00°
Fractional coordinates of all 16 atoms:
1 Ce 0.000 0.000 0.000
2 Ce 0.248 0.248 0.190
3 Ce 0.248 0.752 0.190
4 Ce 0.252 0.252 0.690
5 Ce 0.252 0.748 0.690
6 Ce 0.500 0.500 0.500
7 Ce 0.748 0.252 0.690
8 Ce 0.748 0.748 0.690
9 Ce 0.752 0.248 0.190
10 Ce 0.752 0.752 0.190
11 Fe 0.000 0.000 0.622
12 Fe 0.500 0.500 0.122
13 Ge 0.000 0.500 0.446
14 Ge 0.000 0.500 0.946
15 Ge 0.500 0.000 0.446
16 Ge 0.500 0.000 0.946

=====

# 4
The following is a calculated powder diffractogram of ThFe4Si4. It was derived from a structure optimized by DFT (GGA-PBE), using Cu Kα (λ = 1.5418 Å).
Peak positions follow from Bragg's law for the DFT cell and can differ from measured ones.

Main lines, in order of rising 2θ (2θ from 10° to 90°):
Position (°2θ)	d [Å]	I/Imax	hkl
23.2	3.833	86	1 0 1
33.1	2.709	100	2 1 1
37.1	2.422	75	3 1 0
40.8	2.213	37	0 0 2
42.5	2.127	12	1 0 2
47.5	1.915	38	2 3 1
53.5	1.713	37	2 4 0
56.3	1.634	29	3 1 2
64.3	1.448	26	3 4 1
69.4	1.355	28	5 2 1
79.0	1.211	14	1 6 1
83.7	1.155	14	4 4 2

a = 7.658 Å, b = 7.658 Å, c = 4.428 Å
α = 90.00°, β = 90.00°, γ = 90.00°
Fractional coordinates of all 18 atoms:
1 Th 0.250 0.250 0.250
2 Th 0.750 0.750 0.750
3 Fe 0.115 0.876 0.670
4 Fe 0.124 0.615 0.170
5 Fe 0.376 0.885 0.170
6 Fe 0.385 0.624 0.670
7 Fe 0.615 0.376 0.330
8 Fe 0.624 0.115 0.830
9 Fe 0.876 0.385 0.830
10 Fe 0.885 0.124 0.330
11 Si 0.052 0.895 0.177
12 Si 0.105 0.552 0.677
13 Si 0.395 0.948 0.677
14 Si 0.448 0.605 0.177
15 Si 0.552 0.395 0.823
16 Si 0.605 0.052 0.323
17 Si 0.895 0.448 0.323
18 Si 0.948 0.105 0.823